# HgPb2Cl2O2
Simulated powder X-ray diffraction pattern, Cu Ka. Input: a cell relaxed with PBE.
Lines closer than 0.1° are merged.

Largest 8 diffraction maxima, in order of rising 2θ, 2θ = 10–90°:
12.96°, d = 6.832 Å, rel. 43, hkl 0 0 1; 21.96°, d = 4.048 Å, rel. 27, hkl 2 0 -2; 24.10°, d = 3.693 Å, rel. 43, hkl 1 1 0; 27.11°, d = 3.289 Å, rel. 25, hkl 2 0 1; 29.72°, d = 3.006 Å, rel. 100, hkl 1 1 1; 30.20°, d = 2.959 Å, rel. 56, hkl 4 0 -1; 33.06°, d = 2.709 Å, rel. 38, hkl 2 0 -3; 33.72°, d = 2.658 Å, rel. 76, hkl 3 1 -2

Atomic structure:
```
data_HgPb2Cl2O2
_space_group_name_H-M_alt 'P 1'
_space_group_IT_number 1
_space_group_name_Hall 'P 1'
_cell_length_a 12.115
_cell_length_b 3.967
_cell_length_c 8.186
_cell_angle_alpha 90.00
_cell_angle_beta 123.43
_cell_angle_gamma 90.00
loop_
_atom_site_label
_atom_site_fract_x
_atom_site_fract_y
_atom_site_fract_z
Hg1 0.000 0.000 0.000
Hg2 0.500 0.500 0.000
Pb1 0.177 0.000 0.762
Pb2 0.323 0.500 0.238
Pb3 0.677 0.500 0.762
Pb4 0.823 0.000 0.238
Cl1 0.053 0.500 0.329
Cl2 0.447 0.000 0.671
Cl3 0.553 0.000 0.329
Cl4 0.947 0.500 0.671
O1 0.191 0.000 0.062
O2 0.309 0.500 0.938
O3 0.691 0.500 0.062
O4 0.809 0.000 0.938
```



# Pm5ErPb3
Simulated powder X-ray diffraction pattern, Cu Ka. Input: a cell relaxed with PBE.
Lines closer than 0.1° are merged.

Largest 8 diffraction maxima, in order of rising 2θ, 2θ = 10–90°:
32.02°, d = 2.795 Å, rel. 100, hkl 3 0 0; 32.35°, d = 2.767 Å, rel. 83, hkl 1 1 2; 41.98°, d = 2.152 Å, rel. 15, hkl 3 0 2; 46.16°, d = 1.967 Å, rel. 31, hkl 2 2 2; 57.08°, d = 1.614 Å, rel. 20, hkl 3 3 0; 57.28°, d = 1.608 Å, rel. 33, hkl 4 1 2; 64.54°, d = 1.444 Å, rel. 27, hkl 3 0 4; 76.34°, d = 1.247 Å, rel. 14, hkl 5 2 2

Atomic structure:
```
data_Pm5ErPb3
_space_group_name_H-M_alt 'P 1'
_space_group_IT_number 1
_space_group_name_Hall 'P 1'
_cell_length_a 9.682
_cell_length_b 9.682
_cell_length_c 6.746
_cell_angle_alpha 90.00
_cell_angle_beta 90.00
_cell_angle_gamma 120.00
loop_
_atom_site_label
_atom_site_fract_x
_atom_site_fract_y
_atom_site_fract_z
Pm1 0.000 0.329 0.250
Pm2 0.000 0.671 0.750
Pm3 0.329 0.000 0.250
Pm4 0.329 0.329 0.750
Pm5 0.333 0.667 0.000
Pm6 0.333 0.667 0.500
Pm7 0.667 0.333 0.000
Pm8 0.667 0.333 0.500
Pm9 0.671 0.000 0.750
Pm10 0.671 0.671 0.250
Er1 0.000 0.000 0.000
Er2 0.000 0.000 0.500
Pb1 0.000 0.336 0.750
Pb2 0.000 0.664 0.250
Pb3 0.336 0.000 0.750
Pb4 0.336 0.336 0.250
Pb5 0.664 0.000 0.250
Pb6 0.664 0.664 0.750
```